Structure and simulated powder X-ray diffraction pattern of AlAs2 (DFT lattice parameters and positions (GGA-PBE); λ = 1.5418 Å (Cu Kα)).

Peak list (8 most intense, 10° ≤ 2θ ≤ 90°, sorted by position)
d [Å]	intensity	index
3.639	51	0 0 4
3.076	13	1 2 3
2.902	14	2 1 3
2.769	100	2 2 2
2.304	9	0 4 0
1.947	26	0 4 4
1.885	32	2 2 6
1.820	14	0 0 8

Cell and atoms:
```
data_AlAs2
_chemical_formula_sum 'Al16 As32'
_space_group_name_H-M_alt 'I b c a'
_space_group_IT_number 73
_space_group_name_Hall '-I 2b 2c'
_cell_length_a 7.8745
_cell_length_b 9.2172
_cell_length_c 14.5566
_cell_angle_alpha 90.00
_cell_angle_beta 90.00
_cell_angle_gamma 90.00
loop_
_atom_site_label
_atom_site_fract_x
_atom_site_fract_y
_atom_site_fract_z
Al1 0.1753 0.1256 0.1235
As1 0.0000 0.0000 0.0000
As2 0.0000 0.2500 0.2437
As3 0.1666 0.0000 0.7500
As4 0.2500 0.1990 0.5000
```

***

Structure and simulated powder X-ray diffraction pattern of MoCl6 (DFT lattice parameters and positions (GGA-PBE); λ = 1.5418 Å (Cu Kα)).

Peak list (8 most intense, 10° ≤ 2θ ≤ 90°, sorted by position)
d [Å]	intensity	index
5.590	100	1 1 0
5.034	55	1 0 1
3.741	18	0 2 1
3.109	17	2 1 1
2.831	63	0 3 1
2.176	34	0 3 2
2.028	16	2 2 2
1.863	20	3 3 0

Cell and atoms:
```
data_MoCl6
_chemical_formula_sum 'Mo3 Cl18'
_space_group_name_H-M_alt 'P -3 m 1'
_space_group_IT_number 164
_space_group_name_Hall '-P 3 2"'
_cell_length_a 11.1796
_cell_length_b 11.1796
_cell_length_c 5.8940
_cell_angle_alpha 90.00
_cell_angle_beta 90.00
_cell_angle_gamma 120.00
loop_
_atom_site_label
_atom_site_fract_x
_atom_site_fract_y
_atom_site_fract_z
Mo1 0.0000 0.0000 0.0000
Mo2 0.3333 0.6667 0.5043
Cl1 0.0976 0.1952 0.7731
Cl2 0.1380 0.5690 0.7310
Cl3 0.2358 0.4715 0.2774
```

***

Structure and simulated powder X-ray diffraction pattern of La3Ga4Cl (DFT lattice parameters and positions (GGA-PBE); λ = 1.5418 Å (Cu Kα)).

Peak list (8 most intense, 10° ≤ 2θ ≤ 90°, sorted by position)
d [Å]	intensity	index
3.517	26	2 1 1
3.352	17	2 0 2
2.865	28	0 0 4
2.656	100	2 1 3
2.613	72	3 1 0
1.931	33	3 1 4
1.497	16	2 1 7
1.424	19	5 2 3

Cell and atoms:
```
data_La3Ga4Cl
_chemical_formula_sum 'La12 Ga16 Cl4'
_space_group_name_H-M_alt 'I 4/m c m'
_space_group_IT_number 140
_space_group_name_Hall '-I 4 2c'
_cell_length_a 8.2642
_cell_length_b 8.2642
_cell_length_c 11.4598
_cell_angle_alpha 90.00
_cell_angle_beta 90.00
_cell_angle_gamma 90.00
loop_
_atom_site_label
_atom_site_fract_x
_atom_site_fract_y
_atom_site_fract_z
La1 0.0000 0.0000 0.2500
La2 0.1610 0.3390 0.0000
Ga1 0.1432 0.3568 0.3008
Cl1 0.0000 0.0000 0.0000
```

***

Structure and simulated powder X-ray diffraction pattern of NaGdTi2O6 (DFT lattice parameters and positions (GGA-PBE); λ = 1.5418 Å (Cu Kα)).

Peak list (8 most intense, 10° ≤ 2θ ≤ 90°, sorted by position)
d [Å]	intensity	index
4.487	47	1 1 0
4.405	58	1 0 1
2.767	20	0 2 0
2.719	100	2 1 1
2.691	25	0 0 2
2.308	29	3 0 1
1.929	28	0 2 2
1.560	35	2 1 3

Cell and atoms:
```
data_NaGdTi2O6
_chemical_formula_sum 'Na2 Gd2 Ti4 O12'
_space_group_name_H-M_alt 'P m n 21'
_space_group_IT_number 31
_cell_length_a 7.6661
_cell_length_b 5.5340
_cell_length_c 5.3814
_cell_angle_alpha 90.00
_cell_angle_beta 90.00
_cell_angle_gamma 90.00
loop_
_space_group_symop_operation_xyz
'x,y,z'
'-x+1/2,-y,z+1/2'
'-x,y,z'
'x+1/2,-y,z+1/2'
loop_
_atom_site_label
_atom_site_fract_x
_atom_site_fract_y
_atom_site_fract_z
Na1 0.0000 0.2211 0.0000
Gd1 0.0000 0.6889 0.5199
Ti1 0.2475 0.2374 0.5166
O1 0.0000 0.2712 0.4288
O2 0.0000 0.7708 0.0960
O3 0.2016 0.9528 0.7032
O4 0.2109 0.4661 0.7802
```

***

Structure and simulated powder X-ray diffraction pattern of Rb2ZrF6 (DFT lattice parameters and positions (GGA-PBE); λ = 1.5418 Å (Cu Kα)).

Peak list (8 most intense, 10° ≤ 2θ ≤ 90°, sorted by position)
d [Å]	intensity	index
3.648	100	0 1 1
3.135	61	1 1 0
2.378	77	2 0 1
2.242	27	1 0 2
1.894	28	1 2 1
1.824	23	0 2 2
1.577	21	2 1 2
1.568	19	2 2 0

Cell and atoms:
```
data_Rb2ZrF6
_chemical_formula_sum 'Rb2 Zr1 F6'
_space_group_name_H-M_alt 'P -3 m 1'
_space_group_IT_number 164
_space_group_name_Hall '-P 3 2"'
_cell_length_a 6.2703
_cell_length_b 6.2703
_cell_length_c 4.9242
_cell_angle_alpha 90.00
_cell_angle_beta 90.00
_cell_angle_gamma 120.00
loop_
_atom_site_label
_atom_site_fract_x
_atom_site_fract_y
_atom_site_fract_z
Rb1 0.3333 0.6667 0.3116
Zr1 0.0000 0.0000 0.0000
F1 0.1575 0.3150 0.7720
```

***

Structure and simulated powder X-ray diffraction pattern of Pr5NiPb3 (DFT lattice parameters and positions (GGA-PBE); λ = 1.5418 Å (Cu Kα)).

Peak list (8 most intense, 10° ≤ 2θ ≤ 90°, sorted by position)
d [Å]	intensity	index
3.483	21	0 0 2
3.082	15	2 1 0
2.818	100	2 1 1
2.800	81	1 1 2
2.718	38	3 0 0
2.151	24	3 1 1
1.854	30	2 1 3
1.477	19	5 0 2

Cell and atoms:
```
data_Pr5NiPb3
_chemical_formula_sum 'Pr10 Ni2 Pb6'
_space_group_name_H-M_alt 'P 63/m c m'
_space_group_IT_number 193
_space_group_name_Hall '-P 6c 2'
_cell_length_a 9.4159
_cell_length_b 9.4159
_cell_length_c 6.9653
_cell_angle_alpha 90.00
_cell_angle_beta 90.00
_cell_angle_gamma 120.00
loop_
_atom_site_label
_atom_site_fract_x
_atom_site_fract_y
_atom_site_fract_z
Pr1 0.0000 0.2386 0.2500
Pr2 0.3333 0.6667 0.0000
Ni1 0.0000 0.0000 0.0000
Pb1 0.0000 0.4027 0.7500
```

***

Structure and simulated powder X-ray diffraction pattern of HoCuPbSe3 (DFT lattice parameters and positions (GGA-PBE); λ = 1.5418 Å (Cu Kα)).

Peak list (8 most intense, 10° ≤ 2θ ≤ 90°, sorted by position)
d [Å]	intensity	index
4.189	49	2 0 2
2.914	100	1 1 3
2.652	26	4 0 0
2.631	59	2 1 3
2.616	31	3 1 1
2.094	49	2 0 6
2.029	32	0 2 0
1.457	31	2 2 6

Cell and atoms:
```
data_HoCuPbSe3
_chemical_formula_sum 'Ho4 Cu4 Pb4 Se12'
_space_group_name_H-M_alt 'P n m a'
_space_group_IT_number 62
_cell_length_a 10.6063
_cell_length_b 4.0579
_cell_length_c 13.6668
_cell_angle_alpha 90.00
_cell_angle_beta 90.00
_cell_angle_gamma 90.00
loop_
_space_group_symop_operation_xyz
'x,y,z'
'-x,-y,-z'
'-x+1/2,-y,z+1/2'
'x+1/2,y,-z+1/2'
'x+1/2,-y+1/2,-z+1/2'
'-x+1/2,y+1/2,z+1/2'
'-x,y+1/2,-z'
'x,-y+1/2,z'
loop_
_atom_site_label
_atom_site_fract_x
_atom_site_fract_y
_atom_site_fract_z
Ho1 0.0219 0.2500 0.2444
Cu1 0.2351 0.2500 0.7218
Pb1 0.2235 0.7500 0.5060
Se1 0.0450 0.2500 0.6150
Se2 0.0875 0.7500 0.1077
Se3 0.2314 0.7500 0.8305
```